Starting from a structure optimized by DFT (GGA-PBE), the powder diffraction line list of Ga2FeSe was calculated for Cu Kα (λ = 1.5418 Å).

Most intense lines, 2θ from 10° to 80°, low angle first:
d = 3.225 Å, I 100.0
d = 2.247 Å, I 35.5
d = 1.872 Å, I 40.5
d = 1.844 Å, I 37.9
d = 1.589 Å, I 11.3
d = 1.460 Å, I 8.8
d = 1.425 Å, I 7.7
d = 1.224 Å, I 9.3
d = 1.211 Å, I 17.5
d = 1.203 Å, I 8.4

Structural model:
Cell lengths 6.355, 6.355, 9.264 Å; angles 90.00, 90.00, 90.00 degrees
Space group I-42d (No. 122)
Symmetry-distinct sites (fractional):
Ga: 0.233 0.250 0.125 x8
Fe: 0.000 0.000 0.000 x4
Se: 0.000 0.000 0.500 x4